[1]
The following is a theoretical X-ray powder pattern of SrB2Ir2. It was derived from a cell relaxed with GGA-PBE, using CuKα.
Kinematic intensities with the Lorentz-polarization factor, no thermal factor.

Largest 8 diffraction maxima, by angle, 15 to 90 degrees two-theta:
2theta	intensity
19.19	67
30.39	98
35.04	100
38.08	41
40.87	50
45.66	20
49.08	33
52.66	21

Structural model:
```
data_SrB2Ir2
_symmetry_space_group_name_H-M 'P 1'
_symmetry_Int_Tables_number 1
_cell_length_a 7.1682
_cell_length_b 6.1908
_cell_length_c 5.6235
_cell_angle_alpha 74.53
_cell_angle_beta 56.34
_cell_angle_gamma 49.12
loop_
_symmetry_equiv_pos_as_xyz
'x,y,z'
loop_
_atom_site_label
_atom_site_fract_x
_atom_site_fract_y
_atom_site_fract_z
_atom_site_occupancy
Sr1 0.1250 0.1250 0.1250 1
Sr2 0.8750 0.8750 0.8750 1
B1 0.2006 0.5494 0.2006 1
B2 0.4506 0.7994 0.4506 1
B3 0.5494 0.2006 0.5494 1
B4 0.7994 0.4506 0.7994 1
Ir1 0.2443 0.2443 0.5057 1
Ir2 0.4943 0.4943 0.7557 1
Ir3 0.5057 0.5057 0.2443 1
Ir4 0.7557 0.7557 0.4943 1
```


[2]
The following is a theoretical X-ray powder pattern of Y2BIr2. It was derived from a cell relaxed with GGA-PBE, using CuKα.
Kinematic intensities with the Lorentz-polarization factor, no thermal factor.

Largest 8 diffraction maxima, by angle, 15 to 90 degrees two-theta:
2theta	intensity
22.73	30
26.21	64
32.37	100
42.11	72
43.13	25
46.43	37
54.10	35
54.94	25

Structural model:
```
data_Y2BIr2
_symmetry_space_group_name_H-M 'P 1'
_symmetry_Int_Tables_number 1
_cell_length_a 5.1828
_cell_length_b 5.1828
_cell_length_c 5.1828
_cell_angle_alpha 115.49
_cell_angle_beta 115.49
_cell_angle_gamma 98.00
loop_
_symmetry_equiv_pos_as_xyz
'x,y,z'
loop_
_atom_site_label
_atom_site_fract_x
_atom_site_fract_y
_atom_site_fract_z
_atom_site_occupancy
Y1 0.2500 0.7500 0.5000 1
Y2 0.7500 0.2500 0.5000 1
B1 0.0000 0.0000 0.0000 1
Ir1 0.2962 0.2962 0.0000 1
Ir2 0.7038 0.7038 0.0000 1
```


[3]
The following is a theoretical X-ray powder pattern of ZnBIr. It was derived from a cell relaxed with GGA-PBE, using CuKα.
Kinematic intensities with the Lorentz-polarization factor, no thermal factor.

Largest 8 diffraction maxima, by angle, 15 to 90 degrees two-theta:
2theta	intensity
28.09	100
32.55	15
46.70	68
55.39	46
68.18	11
75.29	19
77.61	6
86.70	23

Structural model:
```
data_ZnBIr
_symmetry_space_group_name_H-M 'P 1'
_symmetry_Int_Tables_number 1
_cell_length_a 3.8902
_cell_length_b 3.8902
_cell_length_c 3.8902
_cell_angle_alpha 60.00
_cell_angle_beta 60.00
_cell_angle_gamma 60.00
loop_
_symmetry_equiv_pos_as_xyz
'x,y,z'
loop_
_atom_site_label
_atom_site_fract_x
_atom_site_fract_y
_atom_site_fract_z
_atom_site_occupancy
Zn1 0.0000 0.0000 0.0000 1
B1 0.5000 0.5000 0.5000 1
Ir1 0.7500 0.7500 0.7500 1
```


[4]
The following is a theoretical X-ray powder pattern of ZrB4Ir3. It was derived from a cell relaxed with GGA-PBE, using CuKα.
Kinematic intensities with the Lorentz-polarization factor, no thermal factor.

Largest 8 diffraction maxima, by angle, 15 to 90 degrees two-theta:
2theta	intensity
27.05	27
34.60	100
36.04	29
37.27	86
41.07	29
49.87	41
56.65	25
74.62	25

Structural model:
```
data_ZrB4Ir3
_symmetry_space_group_name_H-M 'P 1'
_symmetry_Int_Tables_number 1
_cell_length_a 7.6135
_cell_length_b 7.6135
_cell_length_c 3.5406
_cell_angle_alpha 90.00
_cell_angle_beta 90.00
_cell_angle_gamma 120.00
loop_
_symmetry_equiv_pos_as_xyz
'x,y,z'
loop_
_atom_site_label
_atom_site_fract_x
_atom_site_fract_y
_atom_site_fract_z
_atom_site_occupancy
Zr1 0.3333 0.6667 0.2500 1
Zr2 0.6667 0.3333 0.7500 1
B1 0.0000 0.0000 0.0000 1
B2 0.0000 0.0000 0.5000 1
B3 0.0505 0.4479 0.7500 1
B4 0.3974 0.9495 0.7500 1
B5 0.4479 0.3974 0.2500 1
B6 0.5521 0.6026 0.7500 1
B7 0.6026 0.0505 0.2500 1
B8 0.9495 0.5521 0.2500 1
Ir1 0.0728 0.7433 0.7500 1
Ir2 0.2567 0.3295 0.7500 1
Ir3 0.3295 0.0728 0.2500 1
Ir4 0.6705 0.9272 0.7500 1
Ir5 0.7433 0.6705 0.2500 1
Ir6 0.9272 0.2567 0.2500 1
```


[5]
The following is a theoretical X-ray powder pattern of KZn4B3O9. It was derived from a cell relaxed with GGA-PBE, using CuKα.
Kinematic intensities with the Lorentz-polarization factor, no thermal factor.

Largest 8 diffraction maxima, by angle, 15 to 90 degrees two-theta:
2theta	intensity
18.97	36
23.35	59
29.41	50
30.62	48
31.25	100
32.37	38
36.89	49
56.96	34

Structural model:
```
data_KZn4B3O9
_symmetry_space_group_name_H-M 'P 1'
_symmetry_Int_Tables_number 1
_cell_length_a 6.8312
_cell_length_b 4.9928
_cell_length_c 12.4380
_cell_angle_alpha 90.00
_cell_angle_beta 92.02
_cell_angle_gamma 90.00
loop_
_symmetry_equiv_pos_as_xyz
'x,y,z'
loop_
_atom_site_label
_atom_site_fract_x
_atom_site_fract_y
_atom_site_fract_z
_atom_site_occupancy
K1 0.0000 0.2089 0.2500 1
K2 0.0000 0.7911 0.7500 1
Zn1 0.2032 0.3369 0.5615 1
Zn2 0.2032 0.6631 0.0615 1
Zn3 0.4881 0.1553 0.1223 1
Zn4 0.4881 0.8447 0.6223 1
Zn5 0.5119 0.1553 0.3777 1
Zn6 0.5119 0.8447 0.8777 1
Zn7 0.7968 0.3369 0.9385 1
Zn8 0.7968 0.6631 0.4385 1
B1 0.1867 0.1539 0.9462 1
B2 0.1867 0.8461 0.4462 1
B3 0.5000 0.3409 0.7500 1
B4 0.5000 0.6591 0.2500 1
B5 0.8133 0.1539 0.5538 1
B6 0.8133 0.8461 0.0538 1
O1 0.0469 0.2627 0.8802 1
O2 0.0469 0.7373 0.3802 1
O3 0.2490 0.1126 0.4314 1
O4 0.2490 0.8874 0.9314 1
O5 0.2719 0.2932 0.0328 1
O6 0.2719 0.7068 0.5328 1
O7 0.4048 0.2038 0.6678 1
O8 0.4048 0.7962 0.1678 1
O9 0.5000 0.3826 0.2500 1
O10 0.5000 0.6174 0.7500 1
O11 0.5952 0.2038 0.8322 1
O12 0.5952 0.7962 0.3322 1
O13 0.7281 0.2932 0.4672 1
O14 0.7281 0.7068 0.9672 1
O15 0.7510 0.1126 0.0686 1
O16 0.7510 0.8874 0.5686 1
O17 0.9531 0.2627 0.6198 1
O18 0.9531 0.7373 0.1198 1
```


[6]
The following is a theoretical X-ray powder pattern of KB4Os. It was derived from a cell relaxed with GGA-PBE, using CuKα.
Kinematic intensities with the Lorentz-polarization factor, no thermal factor.

Largest 8 diffraction maxima, by angle, 15 to 90 degrees two-theta:
2theta	intensity
21.43	59
34.24	63
35.96	49
40.75	100
47.84	29
56.62	33
65.74	18
78.22	27

Structural model:
```
data_KB4Os
_symmetry_space_group_name_H-M 'P 1'
_symmetry_Int_Tables_number 1
_cell_length_a 3.0237
_cell_length_b 3.0237
_cell_length_c 8.2946
_cell_angle_alpha 90.00
_cell_angle_beta 90.00
_cell_angle_gamma 120.00
loop_
_symmetry_equiv_pos_as_xyz
'x,y,z'
loop_
_atom_site_label
_atom_site_fract_x
_atom_site_fract_y
_atom_site_fract_z
_atom_site_occupancy
K1 0.0000 0.0000 0.0000 1
B1 0.3333 0.6667 0.2999 1
B2 0.3333 0.6667 0.7001 1
B3 0.6667 0.3333 0.2999 1
B4 0.6667 0.3333 0.7001 1
Os1 0.0000 0.0000 0.5000 1
```


[7]
The following is a theoretical X-ray powder pattern of KRbB2Pt. It was derived from a cell relaxed with GGA-PBE, using CuKα.
Kinematic intensities with the Lorentz-polarization factor, no thermal factor.

Largest 8 diffraction maxima, by angle, 15 to 90 degrees two-theta:
2theta	intensity
15.83	33
18.48	48
24.43	100
32.30	61
36.17	27
37.19	48
40.91	26
53.06	25

Structural model:
```
data_KRbB2Pt
_symmetry_space_group_name_H-M 'P 1'
_symmetry_Int_Tables_number 1
_cell_length_a 5.5427
_cell_length_b 5.5427
_cell_length_c 5.5971
_cell_angle_alpha 90.00
_cell_angle_beta 90.00
_cell_angle_gamma 120.00
loop_
_symmetry_equiv_pos_as_xyz
'x,y,z'
loop_
_atom_site_label
_atom_site_fract_x
_atom_site_fract_y
_atom_site_fract_z
_atom_site_occupancy
K1 0.0000 0.0000 0.0000 1
Rb1 0.3333 0.6667 0.4991 1
B1 0.6667 0.3333 0.5989 1
B2 0.6667 0.3333 0.8833 1
Pt1 0.6667 0.3333 0.2408 1
```


[8]
The following is a theoretical X-ray powder pattern of KThB4. It was derived from a cell relaxed with GGA-PBE, using CuKα.
Kinematic intensities with the Lorentz-polarization factor, no thermal factor.

Largest 8 diffraction maxima, by angle, 15 to 90 degrees two-theta:
2theta	intensity
19.45	57
31.81	61
33.33	57
37.56	100
43.83	31
51.57	33
56.67	16
60.48	29

Structural model:
```
data_KThB4
_symmetry_space_group_name_H-M 'P 1'
_symmetry_Int_Tables_number 1
_cell_length_a 3.2484
_cell_length_b 3.2484
_cell_length_c 9.1280
_cell_angle_alpha 90.00
_cell_angle_beta 90.00
_cell_angle_gamma 120.00
loop_
_symmetry_equiv_pos_as_xyz
'x,y,z'
loop_
_atom_site_label
_atom_site_fract_x
_atom_site_fract_y
_atom_site_fract_z
_atom_site_occupancy
K1 0.0000 0.0000 0.0000 1
Th1 0.0000 0.0000 0.5000 1
B1 0.3333 0.6667 0.2733 1
B2 0.3333 0.6667 0.7267 1
B3 0.6667 0.3333 0.2733 1
B4 0.6667 0.3333 0.7267 1
```


[9]
The following is a theoretical X-ray powder pattern of La2NdB2N4. It was derived from a cell relaxed with GGA-PBE, using CuKα.
Kinematic intensities with the Lorentz-polarization factor, no thermal factor.

Largest 8 diffraction maxima, by angle, 15 to 90 degrees two-theta:
2theta	intensity
28.09	34
28.20	65
33.13	100
38.85	33
48.81	23
53.00	23
57.26	22
59.48	25

Structural model:
```
data_La2NdB2N4
_symmetry_space_group_name_H-M 'P 1'
_symmetry_Int_Tables_number 1
_cell_length_a 6.5749
_cell_length_b 6.5749
_cell_length_c 6.5749
_cell_angle_alpha 148.52
_cell_angle_beta 122.22
_cell_angle_gamma 67.29
loop_
_symmetry_equiv_pos_as_xyz
'x,y,z'
loop_
_atom_site_label
_atom_site_fract_x
_atom_site_fract_y
_atom_site_fract_z
_atom_site_occupancy
La1 0.2011 0.2011 0.0000 1
La2 0.7989 0.7989 0.0000 1
Nd1 0.5000 0.0000 0.5000 1
B1 0.1430 0.5000 0.6430 1
B2 0.8570 0.5000 0.3570 1
N1 0.1403 0.3827 0.7576 1
N2 0.3749 0.6173 0.7576 1
N3 0.6251 0.3827 0.2424 1
N4 0.8597 0.6173 0.2424 1
```


[10]
The following is a theoretical X-ray powder pattern of LaNd2B2N4. It was derived from a cell relaxed with GGA-PBE, using CuKα.
Kinematic intensities with the Lorentz-polarization factor, no thermal factor.

Largest 8 diffraction maxima, by angle, 15 to 90 degrees two-theta:
2theta	intensity
26.31	17
28.30	34
28.53	64
33.28	100
39.02	31
49.29	23
53.34	23
57.81	22

Structural model:
```
data_LaNd2B2N4
_symmetry_space_group_name_H-M 'P 1'
_symmetry_Int_Tables_number 1
_cell_length_a 6.5066
_cell_length_b 6.5066
_cell_length_c 6.5066
_cell_angle_alpha 148.18
_cell_angle_beta 122.01
_cell_angle_gamma 67.68
loop_
_symmetry_equiv_pos_as_xyz
'x,y,z'
loop_
_atom_site_label
_atom_site_fract_x
_atom_site_fract_y
_atom_site_fract_z
_atom_site_occupancy
La1 0.0000 0.0000 0.0000 1
Nd1 0.2990 0.7990 0.5000 1
Nd2 0.7010 0.2010 0.5000 1
B1 0.3584 0.5000 0.8584 1
B2 0.6416 0.5000 0.1416 1
N1 0.1258 0.3802 0.7455 1
N2 0.3653 0.6198 0.7455 1
N3 0.6347 0.3802 0.2545 1
N4 0.8742 0.6198 0.2545 1
```


[11]
The following is a theoretical X-ray powder pattern of LaNd2Ni2B2N3. It was derived from a cell relaxed with GGA-PBE, using CuKα.
Kinematic intensities with the Lorentz-polarization factor, no thermal factor.

Largest 8 diffraction maxima, by angle, 15 to 90 degrees two-theta:
2theta	intensity
27.69	100
32.86	67
34.72	38
35.08	50
35.84	38
39.05	38
49.91	40
62.46	36

Structural model:
```
data_LaNd2Ni2B2N3
_symmetry_space_group_name_H-M 'P 1'
_symmetry_Int_Tables_number 1
_cell_length_a 10.5541
_cell_length_b 10.5541
_cell_length_c 10.5541
_cell_angle_alpha 160.06
_cell_angle_beta 160.06
_cell_angle_gamma 28.34
loop_
_symmetry_equiv_pos_as_xyz
'x,y,z'
loop_
_atom_site_label
_atom_site_fract_x
_atom_site_fract_y
_atom_site_fract_z
_atom_site_occupancy
La1 0.0000 0.0000 0.0000 1
Nd1 0.3726 0.3726 0.0000 1
Nd2 0.6274 0.6274 0.0000 1
Ni1 0.2500 0.7500 0.5000 1
Ni2 0.7500 0.2500 0.5000 1
B1 0.1942 0.1942 0.0000 1
B2 0.8058 0.8058 0.0000 1
N1 0.1236 0.1236 0.0000 1
N2 0.5000 0.5000 0.0000 1
N3 0.8764 0.8764 0.0000 1
```


[12]
The following is a theoretical X-ray powder pattern of La2NdNi2B2N3. It was derived from a cell relaxed with GGA-PBE, using CuKα.
Kinematic intensities with the Lorentz-polarization factor, no thermal factor.

Largest 8 diffraction maxima, by angle, 15 to 90 degrees two-theta:
2theta	intensity
27.47	100
33.03	60
33.95	38
35.19	40
36.44	43
48.77	40
56.92	47
62.38	34

Structural model:
```
data_La2NdNi2B2N3
_symmetry_space_group_name_H-M 'P 1'
_symmetry_Int_Tables_number 1
_cell_length_a 10.2108
_cell_length_b 10.2108
_cell_length_c 10.2108
_cell_angle_alpha 158.93
_cell_angle_beta 158.93
_cell_angle_gamma 29.97
loop_
_symmetry_equiv_pos_as_xyz
'x,y,z'
loop_
_atom_site_label
_atom_site_fract_x
_atom_site_fract_y
_atom_site_fract_z
_atom_site_occupancy
La1 0.1287 0.1287 0.0000 1
La2 0.8713 0.8713 0.0000 1
Nd1 0.5000 0.5000 0.0000 1
Ni1 0.2500 0.7500 0.5000 1
Ni2 0.7500 0.2500 0.5000 1
B1 0.3013 0.3013 0.0000 1
B2 0.6987 0.6987 0.0000 1
N1 0.0000 0.0000 0.0000 1
N2 0.3746 0.3746 0.0000 1
N3 0.6254 0.6254 0.0000 1
```


[13]
The following is a theoretical X-ray powder pattern of LaPrNi2B2N2. It was derived from a cell relaxed with GGA-PBE, using CuKα.
Kinematic intensities with the Lorentz-polarization factor, no thermal factor.

Largest 8 diffraction maxima, by angle, 15 to 90 degrees two-theta:
2theta	intensity
26.89	100
34.02	59
35.79	48
36.42	72
42.12	65
49.36	43
62.46	36
72.43	27

Structural model:
```
data_LaPrNi2B2N2
_symmetry_space_group_name_H-M 'P 1'
_symmetry_Int_Tables_number 1
_cell_length_a 3.6926
_cell_length_b 3.6926
_cell_length_c 7.5262
_cell_angle_alpha 90.00
_cell_angle_beta 90.00
_cell_angle_gamma 90.00
loop_
_symmetry_equiv_pos_as_xyz
'x,y,z'
loop_
_atom_site_label
_atom_site_fract_x
_atom_site_fract_y
_atom_site_fract_z
_atom_site_occupancy
La1 0.0000 0.0000 0.0000 1
Pr1 0.5000 0.5000 0.3483 1
Ni1 0.0000 0.5000 0.6728 1
Ni2 0.5000 0.0000 0.6728 1
B1 0.0000 0.0000 0.5259 1
B2 0.5000 0.5000 0.8210 1
N1 0.0000 0.0000 0.3334 1
N2 0.5000 0.5000 0.0134 1
```


[14]
The following is a theoretical X-ray powder pattern of La2PrB2Os2N3. It was derived from a cell relaxed with GGA-PBE, using CuKα.
Kinematic intensities with the Lorentz-polarization factor, no thermal factor.

Largest 8 diffraction maxima, by angle, 15 to 90 degrees two-theta:
2theta	intensity
26.93	55
31.90	49
33.93	64
34.88	100
37.96	76
42.67	53
48.55	50
60.54	47

Structural model:
```
data_La2PrB2Os2N3
_symmetry_space_group_name_H-M 'P 1'
_symmetry_Int_Tables_number 1
_cell_length_a 10.8960
_cell_length_b 10.8960
_cell_length_c 10.8960
_cell_angle_alpha 160.18
_cell_angle_beta 160.18
_cell_angle_gamma 28.18
loop_
_symmetry_equiv_pos_as_xyz
'x,y,z'
loop_
_atom_site_label
_atom_site_fract_x
_atom_site_fract_y
_atom_site_fract_z
_atom_site_occupancy
La1 0.1227 0.1227 0.0000 1
La2 0.8773 0.8773 0.0000 1
Pr1 0.5000 0.5000 0.0000 1
B1 0.3116 0.3116 0.0000 1
B2 0.6884 0.6884 0.0000 1
Os1 0.2500 0.7500 0.5000 1
Os2 0.7500 0.2500 0.5000 1
N1 0.0000 0.0000 0.0000 1
N2 0.3820 0.3820 0.0000 1
N3 0.6180 0.6180 0.0000 1
```